Sr3Mg4Cd8: theoretical powder XRD pattern (Cu Kα), based on the GGA-PBE geometry in Alexandria.

Top 6 peaks for 10° ≤ 2θ ≤ 80°, by angle:
two_theta, d/Å, I (rel.)
31.68, 2.824, 41
34.58, 2.594, 100
36.22, 2.480, 24
40.30, 2.238, 20
60.15, 1.538, 18
61.96, 1.498, 20

Atomic structure:
Cell: 14.674 14.674 14.674 Å, 90.00 90.00 90.00°
Space group Fm-3m (No. 225)
Unique sites:
1 Sr 0.000 0.000 0.228 x24
2 Mg 0.000 0.000 0.000 x4
3 Mg 0.000 0.000 0.500 x4
4 Mg 0.000 0.250 0.250 x24
5 Cd 0.125 0.125 0.375 x32
6 Cd 0.166 0.166 0.166 x32